This entry pairs a crystal structure of Ag3Hg with its theoretical X-ray powder pattern. Radiation: copper Kα. Structure: DFT lattice parameters and positions (PBE).

Cell and atoms:
```
4
Lattice="4.9326 -1.5054 0.0000 4.9326 1.5054 0.0000 -0.9112 0.0000 5.1140" Properties=species:S:1:pos:R:3 pbc="T T T"
Ag 0.0000 0.0000 0.0000
Ag 1.8010 0.0000 3.8628
Ag 7.1531 0.0000 1.2512
Hg 4.4770 0.0000 2.5570
```

Main lines, in order of rising 2θ (5° ≤ 2θ ≤ 70°):
| Position (°2θ) | I (rel.) |
| --- | --- |
| 17.34 | 6.3 |
| 18.27 | 6.8 |
| 31.10 | 4.3 |
| 36.64 | 100.0 |
| 36.74 | 49.6 |
| 37.02 | 48.5 |
| 42.70 | 97.0 |
| 61.61 | 10.6 |
| 61.81 | 20.9 |
| 62.22 | 30.7 |



This entry pairs a crystal structure of Ce2NdCoAu with its theoretical X-ray powder pattern. Radiation: copper Kα. Structure: DFT lattice parameters and positions (PBE).

Cell and atoms:
```
5
Lattice="4.9057 0.0000 0.0000 0.0000 4.9057 0.0000 0.0000 0.0000 5.7438" Properties=species:S:1:pos:R:3 pbc="T T T"
Ce 0.0000 2.4528 0.0000
Ce 2.4528 0.0000 0.0000
Nd 0.0000 0.0000 2.9701
Co 0.0000 0.0000 0.1129
Au 2.4528 2.4528 3.5676
```

Main lines, in order of rising 2θ (5° ≤ 2θ ≤ 70°):
| Position (°2θ) | I (rel.) |
| --- | --- |
| 15.43 | 10.6 |
| 23.85 | 13.1 |
| 30.10 | 100.0 |
| 31.14 | 25.0 |
| 36.25 | 13.4 |
| 36.64 | 50.5 |
| 48.83 | 28.5 |
| 52.78 | 17.7 |
| 61.96 | 26.2 |
| 62.56 | 13.4 |



This entry pairs a crystal structure of Ac4PIr2 with its theoretical X-ray powder pattern. Radiation: copper Kα. Structure: DFT lattice parameters and positions (PBE).

Cell and atoms:
```
14
Lattice="0.0000 7.4794 4.3791 7.1309 0.0000 4.3791 7.1309 7.4794 0.0000" Properties=species:S:1:pos:R:3 pbc="T T T"
Ac 9.0229 8.7388 1.9902
Ac 8.7695 5.0250 4.3791
Ac 5.4575 2.4803 4.1798
Ac 5.2389 6.2200 1.9902
Ac 8.8044 12.4785 4.1798
Ac 9.0578 8.7647 6.5686
Ac 5.4923 9.9338 4.3791
Ac 5.2040 6.1941 6.5686
P 3.5655 3.7397 2.0415
P 7.1309 7.4794 8.6101
Ir 10.4763 7.4469 4.2788
Ir 14.0417 11.2516 6.4684
Ir 3.7856 7.5119 4.2788
Ir 7.3510 11.1866 6.4684
```

Main lines, in order of rising 2θ (5° ≤ 2θ ≤ 70°):
| Position (°2θ) | I (rel.) |
| --- | --- |
| 17.18 | 36.0 |
| 26.70 | 100.0 |
| 26.92 | 45.5 |
| 34.59 | 55.5 |
| 34.76 | 31.1 |
| 41.23 | 21.7 |
| 41.69 | 43.8 |
| 45.04 | 28.7 |
| 49.93 | 16.6 |
| 54.99 | 19.8 |



This entry pairs a crystal structure of Rb2BeNbI6 with its theoretical X-ray powder pattern. Radiation: copper Kα. Structure: DFT lattice parameters and positions (PBE).

Cell and atoms:
```
10
Lattice="-4.3671 4.3671 5.3154 4.3671 -4.3671 5.3154 4.3671 4.3671 -5.3154" Properties=species:S:1:pos:R:3 pbc="T T T"
Rb 4.3671 0.0000 2.6577
Rb 0.0000 4.3671 2.6577
Be 0.0000 0.0000 0.0000
Nb 0.0000 0.0000 5.3154
I 0.0000 0.0000 2.3019
I 2.3218 2.3218 0.0000
I 2.0452 -2.0452 5.3154
I -2.0452 2.0452 5.3154
I 2.0452 2.0452 5.3154
I 0.0000 0.0000 8.3290
```

Main lines, in order of rising 2θ (5° ≤ 2θ ≤ 70°):
| Position (°2θ) | I (rel.) |
| --- | --- |
| 14.34 | 12.0 |
| 26.41 | 100.0 |
| 27.16 | 12.3 |
| 28.91 | 64.4 |
| 33.72 | 18.7 |
| 41.35 | 23.1 |
| 45.00 | 31.5 |
| 45.35 | 10.6 |
| 49.74 | 31.2 |
| 54.38 | 17.1 |